Entry 1:
Dy4Sb3Te: calculated powder XRD pattern (copper Kα), based on a DFT-relaxed cell (GGA-PBE, Alexandria).
Peak positions follow from Bragg's law for the DFT cell and can differ from measured ones.

The 9 most intense peaks (2θ = 10–80°), in order of rising 2θ:
Position (°2θ), d/Å, intensity
24.9, 3.572, 3.4
28.9, 3.094, 100.0
41.3, 2.188, 76.1
48.8, 1.866, 1.9
51.1, 1.786, 27.2
59.8, 1.547, 12.7
65.8, 1.419, 0.8
67.7, 1.384, 34.9
75.2, 1.263, 25.8

Atomic structure:
```
8
Lattice="6.1873 0.0000 0.0000 0.0000 6.1873 0.0000 0.0000 0.0000 6.1873" Properties=species:S:1:pos:R:3 pbc="T T T"
Dy 0.0000 0.0000 0.0000
Dy 0.0000 3.0937 3.0937
Dy 3.0937 0.0000 3.0937
Dy 3.0937 3.0937 0.0000
Sb 0.0000 0.0000 3.0937
Sb 0.0000 3.0937 0.0000
Sb 3.0937 0.0000 0.0000
Te 3.0937 3.0937 3.0937
```

Entry 2:
Dy7Sb2Te2: calculated powder XRD pattern (copper Kα), based on a DFT-relaxed cell (GGA-PBE, Alexandria).
Peak positions follow from Bragg's law for the DFT cell and can differ from measured ones.

The 10 most intense peaks (2θ = 10–80°), in order of rising 2θ:
Position (°2θ), d/Å, intensity
23.2, 3.836, 46.9
25.5, 3.496, 40.8
28.7, 3.115, 32.9
33.3, 2.690, 52.1
36.4, 2.466, 100.0
37.3, 2.410, 29.1
39.2, 2.299, 29.4
41.0, 2.203, 17.3
52.3, 1.748, 23.4
61.6, 1.506, 17.8

Atomic structure:
```
11
Lattice="4.5981 -5.3809 0.0000 4.5981 5.3809 0.0000 0.0000 0.0000 6.9595" Properties=species:S:1:pos:R:3 pbc="T T T"
Dy 0.0000 0.0000 0.0000
Dy 2.2990 2.6904 1.8635
Dy 2.2990 2.6904 5.0960
Dy 2.2990 -2.6904 1.8635
Dy 2.2990 -2.6904 5.0960
Dy 4.5981 0.0000 1.8261
Dy 4.5981 0.0000 5.1334
Sb 1.8544 0.0000 3.4798
Sb 7.3417 0.0000 3.4798
Te 4.5981 2.3845 0.0000
Te 4.5981 -2.3845 0.0000
```

Entry 3:
Dy7Sb4Te4: calculated powder XRD pattern (copper Kα), based on a DFT-relaxed cell (GGA-PBE, Alexandria).
Peak positions follow from Bragg's law for the DFT cell and can differ from measured ones.

The 10 most intense peaks (2θ = 10–80°), in order of rising 2θ:
Position (°2θ), d/Å, intensity
18.5, 4.798, 18.3
22.0, 4.040, 23.8
28.9, 3.090, 48.3
31.5, 2.841, 100.0
33.4, 2.679, 37.6
34.5, 2.598, 54.2
35.5, 2.529, 25.7
44.9, 2.020, 24.4
45.0, 2.014, 36.5
45.5, 1.992, 17.5

Atomic structure:
```
30
Lattice="-7.5870 7.5870 4.0396 7.5870 -7.5870 4.0396 7.5870 7.5870 -4.0396" Properties=species:S:1:pos:R:3 pbc="T T T"
Dy 4.3018 0.0000 0.0000
Dy 10.8722 0.0000 0.0000
Dy 7.5870 2.1052 0.0000
Dy 0.0000 0.0000 1.9438
Dy 0.0000 4.3018 0.0000
Dy 4.4309 4.4309 0.0000
Dy 3.1562 -3.1562 4.0396
Dy 2.1052 7.5870 0.0000
Dy 5.4819 0.0000 4.0396
Dy -3.1562 3.1562 4.0396
Dy 3.1562 3.1562 4.0396
Dy 0.0000 10.8722 0.0000
Dy 0.0000 0.0000 6.1353
Dy 0.0000 5.4819 4.0396
Sb 5.3470 -2.2400 2.0198
Sb 9.8271 -2.2400 2.0198
Sb 5.3470 2.2400 2.0198
Sb 9.8271 2.2400 2.0198
Sb -2.2400 5.3470 2.0198
Sb 2.2400 5.3470 2.0198
Sb -2.2400 9.8271 2.0198
Sb 2.2400 9.8271 2.0198
Te 1.8515 1.8515 0.0000
Te 5.7356 -5.7356 4.0396
Te 7.5870 5.1004 0.0000
Te 5.1004 7.5870 0.0000
Te 2.4866 0.0000 4.0396
Te 0.0000 2.4866 4.0396
Te -5.7356 5.7356 4.0396
Te 5.7356 5.7356 4.0396
```

Entry 4:
Dy6SbTe5: calculated powder XRD pattern (copper Kα), based on a DFT-relaxed cell (GGA-PBE, Alexandria).
Peak positions follow from Bragg's law for the DFT cell and can differ from measured ones.

The 10 most intense peaks (2θ = 10–80°), in order of rising 2θ:
Position (°2θ), d/Å, intensity
29.0, 3.082, 100.0
41.3, 2.184, 38.1
41.5, 2.175, 37.6
51.1, 1.786, 6.9
51.4, 1.777, 20.1
60.0, 1.541, 12.6
67.9, 1.380, 17.3
68.1, 1.376, 17.0
75.3, 1.262, 6.4
75.6, 1.258, 12.6

Atomic structure:
```
12
Lattice="3.7666 -6.5288 0.0000 3.7666 6.5288 0.0000 -2.5108 0.0000 7.1449" Properties=species:S:1:pos:R:3 pbc="T T T"
Dy -0.0300 2.1292 5.3197
Dy 1.1944 0.0000 1.8028
Dy -0.0300 -2.1292 5.3197
Dy 5.0524 2.1292 1.8251
Dy 3.8280 0.0000 5.3421
Dy 5.0524 -2.1292 1.8251
Sb -1.2554 0.0000 3.5724
Te 3.7666 4.3129 0.0000
Te 2.5112 2.1657 3.5724
Te 3.7666 0.0000 0.0000
Te 2.5112 -2.1657 3.5724
Te 3.7666 -4.3129 0.0000
```

Entry 5:
Dy5SbTe5: calculated powder XRD pattern (copper Kα), based on a DFT-relaxed cell (GGA-PBE, Alexandria).
Peak positions follow from Bragg's law for the DFT cell and can differ from measured ones.

The 10 most intense peaks (2θ = 10–80°), in order of rising 2θ:
Position (°2θ), d/Å, intensity
28.9, 3.087, 51.1
29.1, 3.065, 100.0
41.5, 2.175, 76.6
41.7, 2.167, 37.8
51.5, 1.774, 40.7
60.4, 1.533, 12.5
68.0, 1.379, 17.8
68.4, 1.372, 25.8
75.6, 1.257, 13.0
76.0, 1.253, 25.4

Atomic structure:
```
11
Lattice="6.8520 -3.0870 0.0000 6.8520 3.0870 0.0000 -2.7429 0.0000 8.2265" Properties=species:S:1:pos:R:3 pbc="T T T"
Dy 0.0000 0.0000 0.0000
Dy 4.1402 0.0000 1.3817
Dy 2.7849 0.0000 5.4984
Dy 8.1763 0.0000 2.7280
Dy 6.8211 0.0000 6.8447
Sb 6.8520 0.0000 0.0000
Te 1.3245 0.0000 2.7755
Te -0.0064 0.0000 6.8095
Te 5.4806 0.0000 4.1132
Te 10.9676 0.0000 1.4170
Te 9.6367 0.0000 5.4510
```

Entry 6:
Dy2Th2Sb5: calculated powder XRD pattern (copper Kα), based on a DFT-relaxed cell (GGA-PBE, Alexandria).
Peak positions follow from Bragg's law for the DFT cell and can differ from measured ones.

The 10 most intense peaks (2θ = 10–80°), in order of rising 2θ:
Position (°2θ), d/Å, intensity
24.3, 3.662, 28.8
26.6, 3.347, 23.6
29.5, 3.025, 61.8
30.6, 2.925, 39.0
32.3, 2.773, 41.2
33.2, 2.695, 51.9
34.2, 2.624, 26.2
34.8, 2.581, 100.0
45.1, 2.012, 49.3
63.1, 1.473, 28.3

Atomic structure:
```
18
Lattice="7.8714 -4.1332 0.0000 7.8714 4.1332 0.0000 0.0000 0.0000 8.2820" Properties=species:S:1:pos:R:3 pbc="T T T"
Dy 7.8714 2.8750 7.0009
Dy 7.8714 1.2582 2.8599
Dy 7.8714 -1.2582 5.4221
Dy 7.8714 -2.8750 1.2811
Th 3.0476 0.0000 4.1410
Th 4.8238 0.0000 0.0000
Th 10.9190 0.0000 0.0000
Th 12.6952 0.0000 4.1410
Sb 0.0000 0.0000 4.1410
Sb 5.7140 2.8636 1.2573
Sb 5.7140 1.2696 5.3982
Sb 10.0288 2.8636 1.2573
Sb 10.0288 1.2696 5.3982
Sb 7.8714 0.0000 0.0000
Sb 5.7140 -1.2696 2.8837
Sb 5.7140 -2.8636 7.0247
Sb 10.0288 -1.2696 2.8837
Sb 10.0288 -2.8636 7.0247
```

Entry 7:
DyTh4Sb6: calculated powder XRD pattern (copper Kα), based on a DFT-relaxed cell (GGA-PBE, Alexandria).
Peak positions follow from Bragg's law for the DFT cell and can differ from measured ones.

The 10 most intense peaks (2θ = 10–80°), in order of rising 2θ:
Position (°2θ), d/Å, intensity
24.9, 3.574, 69.2
28.7, 3.116, 66.2
30.6, 2.918, 100.0
32.2, 2.783, 74.9
33.9, 2.646, 75.3
36.8, 2.443, 29.1
38.5, 2.339, 42.9
43.8, 2.069, 39.9
61.8, 1.501, 28.4
65.7, 1.422, 33.7

Atomic structure:
```
22
Lattice="6.1874 3.5723 5.1057 -6.1874 3.5723 5.1057 0.0000 -7.1446 5.1057" Properties=species:S:1:pos:R:3 pbc="T T T"
Dy 0.0000 0.0000 0.0000
Dy 0.0000 0.0000 7.6585
Th -3.7641 0.6250 6.3821
Th 0.0000 0.0000 3.8293
Th -2.4233 -2.9473 8.9349
Th 1.3408 -3.5723 6.3821
Th -1.3408 3.5723 8.9349
Th 2.4233 2.9473 6.3821
Th 0.0000 0.0000 11.4878
Th 3.7641 -0.6250 8.9349
Sb -5.3066 -1.2859 8.4558
Sb -1.5397 -5.2386 6.8613
Sb -1.5396 -1.9060 5.9029
Sb -3.7670 3.9527 6.8613
Sb -0.8808 2.2864 5.9029
Sb -2.4204 0.3804 9.4141
Sb 2.4204 -0.3804 5.9029
Sb 0.8808 -2.2864 9.4141
Sb 3.7670 -3.9527 8.4558
Sb 1.5396 1.9060 9.4141
Sb 1.5396 5.2386 8.4558
Sb 5.3066 1.2859 6.8613
```

Entry 8:
DyThSb2: calculated powder XRD pattern (copper Kα), based on a DFT-relaxed cell (GGA-PBE, Alexandria).
Peak positions follow from Bragg's law for the DFT cell and can differ from measured ones.

The 10 most intense peaks (2θ = 10–80°), in order of rising 2θ:
Position (°2θ), d/Å, intensity
26.4, 3.377, 71.8
29.6, 3.017, 100.0
33.6, 2.664, 15.9
38.3, 2.351, 38.2
41.4, 2.183, 62.4
43.4, 2.086, 25.1
48.5, 1.876, 13.3
51.7, 1.769, 21.4
65.6, 1.423, 31.3
68.2, 1.374, 18.7

Atomic structure:
```
8
Lattice="4.3665 0.0000 0.0000 -2.1832 3.7815 0.0000 0.0000 0.0000 15.0099" Properties=species:S:1:pos:R:3 pbc="T T T"
Dy 0.0000 0.0000 0.0000
Dy 0.0000 0.0000 7.5050
Th 0.0000 2.5210 3.7525
Th 2.1832 1.2605 11.2574
Sb 0.0000 2.5210 9.2897
Sb 0.0000 2.5210 13.2252
Sb 2.1832 1.2605 1.7848
Sb 2.1832 1.2605 5.7202
```

Entry 9:
DyTh4Sb5: calculated powder XRD pattern (copper Kα), based on a DFT-relaxed cell (GGA-PBE, Alexandria).
Peak positions follow from Bragg's law for the DFT cell and can differ from measured ones.

The 10 most intense peaks (2θ = 10–80°), in order of rising 2θ:
Position (°2θ), d/Å, intensity
24.3, 3.663, 13.4
28.1, 3.172, 100.0
40.2, 2.243, 77.5
47.5, 1.913, 7.5
49.8, 1.831, 28.0
58.1, 1.587, 8.9
65.8, 1.419, 24.4
65.9, 1.417, 12.0
73.0, 1.296, 18.0
73.1, 1.294, 8.9

Atomic structure:
```
10
Lattice="-2.2449 2.2449 15.8354 2.2449 -2.2449 15.8354 2.2449 2.2449 -15.8354" Properties=species:S:1:pos:R:3 pbc="T T T"
Dy 0.0000 0.0000 0.0000
Th 0.0000 0.0000 6.3100
Th 0.0000 0.0000 12.6764
Th 0.0000 0.0000 18.9944
Th 0.0000 0.0000 25.3609
Sb 0.0000 0.0000 3.0962
Sb 0.0000 0.0000 9.4952
Sb 0.0000 0.0000 15.8354
Sb 0.0000 0.0000 22.1756
Sb 0.0000 0.0000 28.5747
```

Entry 10:
DyTh3Sb4: calculated powder XRD pattern (copper Kα), based on a DFT-relaxed cell (GGA-PBE, Alexandria).
Peak positions follow from Bragg's law for the DFT cell and can differ from measured ones.

The 10 most intense peaks (2θ = 10–80°), in order of rising 2θ:
Position (°2θ), d/Å, intensity
28.2, 3.166, 100.0
40.1, 2.247, 13.0
40.3, 2.239, 51.6
40.4, 2.231, 12.8
49.8, 1.832, 14.1
50.0, 1.824, 13.9
58.3, 1.583, 13.2
66.0, 1.416, 24.2
73.0, 1.296, 9.0
73.4, 1.290, 13.3

Atomic structure:
```
16
Lattice="7.7594 0.0000 0.0000 0.0000 8.9249 0.0000 -2.5606 0.0000 7.3333" Properties=species:S:1:pos:R:3 pbc="T T T"
Dy -0.6401 1.1057 1.8333
Dy -1.9204 7.8192 5.5000
Th -1.9204 3.3445 5.5000
Th -0.6401 5.5804 1.8333
Th 1.9592 1.1134 5.5000
Th 3.2395 3.3472 1.8333
Th 1.9592 5.5777 5.5000
Th 3.2395 7.8115 1.8333
Sb 1.8905 1.0874 0.0033
Sb 0.6102 7.8375 3.6700
Sb 0.6430 3.3121 3.6386
Sb -0.6373 5.6128 7.3053
Sb 5.8361 3.3121 0.0281
Sb 4.5558 5.6128 3.6947
Sb 4.5886 1.0874 3.6633
Sb 3.3083 7.8375 7.3300
```

Entry 11:
Dy8Tl2Sb: calculated powder XRD pattern (copper Kα), based on a DFT-relaxed cell (GGA-PBE, Alexandria).
Peak positions follow from Bragg's law for the DFT cell and can differ from measured ones.

The 10 most intense peaks (2θ = 10–80°), in order of rising 2θ:
Position (°2θ), d/Å, intensity
29.9, 2.992, 44.4
30.1, 2.972, 42.6
31.8, 2.817, 72.0
32.5, 2.757, 47.8
33.1, 2.705, 100.0
34.8, 2.577, 86.3
35.3, 2.540, 32.8
55.1, 1.668, 26.0
59.2, 1.561, 25.3
61.1, 1.516, 23.9

Atomic structure:
```
11
Lattice="4.3473 -7.3242 0.0000 4.3473 7.3242 0.0000 -2.1811 0.0000 5.1906" Properties=species:S:1:pos:R:3 pbc="T T T"
Dy 0.4362 1.6446 3.2165
Dy 4.3473 4.1181 0.0000
Dy 0.4362 -1.6446 3.2165
Dy 3.0314 0.0000 1.0561
Dy 3.4822 0.0000 4.1345
Dy 6.0774 1.6446 1.9741
Dy 4.3473 -4.1181 0.0000
Dy 6.0774 -1.6446 1.9741
Tl 3.2568 2.8469 2.5953
Tl 3.2568 -2.8469 2.5953
Sb 0.0000 0.0000 0.0000
```

Entry 12:
Dy6TlSb3: calculated powder XRD pattern (copper Kα), based on a DFT-relaxed cell (GGA-PBE, Alexandria).
Peak positions follow from Bragg's law for the DFT cell and can differ from measured ones.

The 10 most intense peaks (2θ = 10–80°), in order of rising 2θ:
Position (°2θ), d/Å, intensity
30.4, 2.938, 28.2
32.2, 2.778, 98.7
32.5, 2.754, 100.0
34.4, 2.604, 44.4
34.8, 2.575, 49.3
42.9, 2.110, 31.5
56.1, 1.639, 21.9
56.4, 1.632, 24.9
64.8, 1.439, 18.6
65.6, 1.423, 18.5

Atomic structure:
```
20
Lattice="5.8453 -5.7380 0.0000 5.8453 5.7380 0.0000 0.0000 0.0000 8.4385" Properties=species:S:1:pos:R:3 pbc="T T T"
Dy 2.9255 2.8402 2.1096
Dy 5.8453 3.9139 4.2280
Dy 5.8453 3.9139 8.4298
Dy 3.9736 0.0000 0.0000
Dy 3.9736 0.0000 4.2193
Dy 2.9255 -2.8402 6.3289
Dy 8.7650 2.8402 2.1096
Dy 7.7169 0.0000 0.0000
Dy 7.7169 0.0000 4.2193
Dy 5.8453 -3.9139 0.0087
Dy 5.8453 -3.9139 4.2106
Dy 8.7650 -2.8402 6.3289
Tl 5.8453 1.6811 2.1096
Tl 5.8453 -1.6811 6.3289
Sb 1.6974 0.0292 6.3289
Sb 1.6974 -0.0292 2.1096
Sb 5.8453 1.6126 6.3289
Sb 5.8453 -1.6126 2.1096
Sb 9.9932 0.0292 6.3289
Sb 9.9932 -0.0292 2.1096
```